The following is a theoretical powder X-ray diffraction pattern of CsKMn2Br6. It was derived from a DFT-relaxed cell (PBE, Alexandria), using a wavelength of 1.5418 Å.
Lines closer than 0.1° are merged.

Most intense lines, 5° ≤ 2θ ≤ 70°, low angle first:
| 2θ (°) | intensity | hkl |
| --- | --- | --- |
| 19.3 | 100 | 2 2 -1 |
| 20.1 | 52 | 3 1 -1 |
| 23.8 | 68 | 1 3 1 |
| 26.4 | 70 | 0 2 2 |
| 27.0 | 75 | 3 3 -1 |
| 36.5 | 50 | 2 2 -3 |

```
data_CsKMn2Br6
_chemical_formula_sum 'Cs4 K4 Mn8 Br24'
_space_group_name_H-M_alt 'C 1 2/c 1'
_space_group_IT_number 15
_space_group_name_Hall '-C 2yc'
_cell_length_a 14.990
_cell_length_b 14.085
_cell_length_c 7.933
_cell_angle_alpha 90.00
_cell_angle_beta 104.24
_cell_angle_gamma 90.00
loop_
_atom_site_label
_atom_site_fract_x
_atom_site_fract_y
_atom_site_fract_z
Cs1 0.000 0.182 0.250
K1 0.000 0.399 0.750
Mn1 0.216 0.088 0.762
Br1 0.114 0.412 0.161
Br2 0.145 0.028 0.010
Br3 0.151 0.244 0.674
```

=====

The following is a theoretical powder X-ray diffraction pattern of CsK2TiI6. It was derived from a DFT-relaxed cell (PBE, Alexandria), using a wavelength of 1.5418 Å.
Lines closer than 0.1° are merged.

Most intense lines, 5° ≤ 2θ ≤ 70°, low angle first:
| 2θ (°) | intensity | hkl |
| --- | --- | --- |
| 14.1 | 35 | 0 1 2 |
| 23.6 | 100 | 1 1 3 |
| 31.3 | 44 | 2 -1 6 |
| 31.7 | 18 | 2 1 1 |
| 35.3 | 26 | 3 -1 4 |
| 35.8 | 24 | 3 0 0 |

```
data_CsK2TiI6
_chemical_formula_sum 'Cs3 K6 Ti3 I18'
_space_group_name_H-M_alt 'R 3'
_space_group_IT_number 146
_space_group_name_Hall 'R 3'
_cell_length_a 8.6914
_cell_length_b 8.6914
_cell_length_c 22.7732
_cell_angle_alpha 90.00
_cell_angle_beta 90.00
_cell_angle_gamma 120.00
loop_
_atom_site_label
_atom_site_fract_x
_atom_site_fract_y
_atom_site_fract_z
Cs1 0.0000 0.0000 0.0000
K1 0.0000 0.0000 0.2887
K2 0.0000 0.0000 0.8036
Ti1 0.0000 0.0000 0.4888
I1 0.0011 0.7379 0.4136
I2 0.0181 0.2804 0.5588
```

=====

The following is a theoretical powder X-ray diffraction pattern of Tb8DySb6. It was derived from a DFT-relaxed cell (PBE, Alexandria), using a wavelength of 1.5418 Å.
Lines closer than 0.1° are merged.

Most intense lines, 5° ≤ 2θ ≤ 70°, low angle first:
| 2θ (°) | intensity | hkl |
| --- | --- | --- |
| 24.7 | 39 | 2 -1 3 |
| 30.9 | 100 | 1 1 6 |
| 39.1 | 59 | 3 0 0 |
| 39.3 | 21 | 2 -1 9 |
| 50.6 | 25 | 4 -2 6 |
| 65.7 | 23 | 4 1 6 |

```
data_Tb8DySb6
_chemical_formula_sum 'Tb24 Dy3 Sb18'
_space_group_name_H-M_alt 'R -3'
_space_group_IT_number 148
_space_group_name_Hall '-R 3'
_cell_length_a 7.9862
_cell_length_b 7.9862
_cell_length_c 25.2072
_cell_angle_alpha 90.00
_cell_angle_beta 90.00
_cell_angle_gamma 120.00
loop_
_atom_site_label
_atom_site_fract_x
_atom_site_fract_y
_atom_site_fract_z
Tb1 0.0000 0.0000 0.1667
Tb2 0.9997 0.3340 0.6218
Dy1 0.0000 0.0000 0.5000
Sb1 0.9998 0.3323 0.4331
```

=====

The following is a theoretical powder X-ray diffraction pattern of K3Ce3CdTe8. It was derived from a DFT-relaxed cell (PBE, Alexandria), using a wavelength of 1.5418 Å.
Lines closer than 0.1° are merged.

Most intense lines, 5° ≤ 2θ ≤ 70°, low angle first:
| 2θ (°) | intensity | hkl |
| --- | --- | --- |
| 10.6 | 49 | 0 0 1 |
| 26.9 | 100 | 2 2 -2 |
| 34.0 | 21 | 4 0 1 |
| 36.8 | 34 | 4 0 -4 |
| 39.9 | 37 | 0 4 0 |
| 48.8 | 19 | 8 0 -4 |

```
data_K3Ce3CdTe8
_chemical_formula_sum 'K6 Ce6 Cd2 Te16'
_space_group_name_H-M_alt 'C 1 2/m 1'
_space_group_IT_number 12
_space_group_name_Hall '-C 2y'
_cell_length_a 15.644
_cell_length_b 9.039
_cell_length_c 9.822
_cell_angle_alpha 90.00
_cell_angle_beta 122.03
_cell_angle_gamma 90.00
loop_
_atom_site_label
_atom_site_fract_x
_atom_site_fract_y
_atom_site_fract_z
K1 0.000 0.000 0.000
K2 0.250 0.250 0.000
Ce1 0.000 0.500 0.500
Ce2 0.250 0.250 0.500
Cd1 0.000 0.000 0.500
Te1 0.015 0.252 0.294
Te2 0.236 0.000 0.705
Te3 0.238 0.500 0.713
```

=====

The following is a theoretical powder X-ray diffraction pattern of KCuPt. It was derived from a DFT-relaxed cell (PBE, Alexandria), using a wavelength of 1.5418 Å.
Lines closer than 0.1° are merged.

Most intense lines, 5° ≤ 2θ ≤ 70°, low angle first:
| 2θ (°) | intensity | hkl |
| --- | --- | --- |
| 19.8 | 100 | 1 0 1 |
| 38.2 | 81 | 1 2 1 |
| 39.1 | 38 | 1 0 3 |
| 40.3 | 82 | 0 2 2 |
| 46.4 | 20 | 2 2 0 |
| 68.8 | 22 | 2 2 4 |

```
data_KCuPt
_chemical_formula_sum 'K4 Cu4 Pt4'
_space_group_name_H-M_alt 'I m m a'
_space_group_IT_number 74
_space_group_name_Hall '-I 2b 2'
_cell_length_a 5.535
_cell_length_b 5.538
_cell_length_c 7.608
_cell_angle_alpha 90.00
_cell_angle_beta 90.00
_cell_angle_gamma 90.00
loop_
_atom_site_label
_atom_site_fract_x
_atom_site_fract_y
_atom_site_fract_z
K1 0.000 0.250 0.126
Cu1 0.250 0.250 0.750
Pt1 0.000 0.000 0.500
```

=====

The following is a theoretical powder X-ray diffraction pattern of LaCd3. It was derived from a DFT-relaxed cell (PBE, Alexandria), using a wavelength of 1.5418 Å.
Lines closer than 0.1° are merged.

Most intense lines, 5° ≤ 2θ ≤ 70°, low angle first:
| 2θ (°) | intensity | hkl |
| --- | --- | --- |
| 34.2 | 100 | 2 0 0 |
| 49.1 | 12 | 2 2 0 |
| 49.3 | 6 | 0 0 4 |
| 61.2 | 24 | 3 1 2 |
| 61.3 | 12 | 2 0 4 |

```
data_LaCd3
_chemical_formula_sum 'La2 Cd6'
_space_group_name_H-M_alt 'I 4/m m m'
_space_group_IT_number 139
_space_group_name_Hall '-I 4 2'
_cell_length_a 5.252
_cell_length_b 5.252
_cell_length_c 7.400
_cell_angle_alpha 90.00
_cell_angle_beta 90.00
_cell_angle_gamma 90.00
loop_
_atom_site_label
_atom_site_fract_x
_atom_site_fract_y
_atom_site_fract_z
La1 0.000 0.000 0.000
Cd1 0.000 0.000 0.500
Cd2 0.000 0.500 0.250
```

=====

The following is a theoretical powder X-ray diffraction pattern of GaIr2C. It was derived from a DFT-relaxed cell (PBE, Alexandria), using a wavelength of 1.5418 Å.
Lines closer than 0.1° are merged.

Most intense lines, 5° ≤ 2θ ≤ 70°, low angle first:
| 2θ (°) | intensity | hkl |
| --- | --- | --- |
| 25.8 | 39 | 2 0 0 |
| 32.2 | 56 | 0 2 1 |
| 41.7 | 100 | 2 2 1 |
| 46.1 | 23 | 0 0 2 |
| 46.3 | 18 | 0 4 0 |
| 53.8 | 16 | 2 4 0 |

```
data_GaIr2C
_chemical_formula_sum 'Ga4 Ir8 C4'
_space_group_name_H-M_alt 'C m m m'
_space_group_IT_number 65
_space_group_name_Hall '-C 2 2'
_cell_length_a 6.903
_cell_length_b 7.841
_cell_length_c 3.936
_cell_angle_alpha 90.00
_cell_angle_beta 90.00
_cell_angle_gamma 90.00
loop_
_atom_site_label
_atom_site_fract_x
_atom_site_fract_y
_atom_site_fract_z
Ga1 0.000 0.199 0.000
Ir1 0.208 0.500 0.000
Ir2 0.250 0.250 0.500
C1 0.109 0.500 0.500
```

=====

The following is a theoretical powder X-ray diffraction pattern of La3CoSn. It was derived from a DFT-relaxed cell (PBE, Alexandria), using a wavelength of 1.5418 Å.
Lines closer than 0.1° are merged.

Most intense lines, 5° ≤ 2θ ≤ 70°, low angle first:
| 2θ (°) | intensity | hkl |
| --- | --- | --- |
| 26.5 | 58 | 0 0 2 |
| 29.1 | 100 | 1 2 0 |
| 30.5 | 85 | 2 0 -1 |
| 30.7 | 67 | 1 2 -1 |
| 33.4 | 79 | 1 2 1 |
| 35.7 | 63 | 2 0 1 |

```
data_La3CoSn
_chemical_formula_sum 'La6 Co2 Sn2'
_space_group_name_H-M_alt 'P 1 21/m 1'
_space_group_IT_number 11
_space_group_name_Hall '-P 2yb'
_cell_length_a 6.019
_cell_length_b 7.179
_cell_length_c 6.868
_cell_angle_alpha 90.00
_cell_angle_beta 101.88
_cell_angle_gamma 90.00
loop_
_atom_site_label
_atom_site_fract_x
_atom_site_fract_y
_atom_site_fract_z
La1 0.096 0.250 0.161
La2 0.370 0.018 0.725
Co1 0.324 0.750 0.996
Sn1 0.133 0.750 0.321
```

=====

The following is a theoretical powder X-ray diffraction pattern of ErTm2PuTl4. It was derived from a DFT-relaxed cell (PBE, Alexandria), using a wavelength of 1.5418 Å.
Lines closer than 0.1° are merged.

Most intense lines, 5° ≤ 2θ ≤ 70°, low angle first:
| 2θ (°) | intensity | hkl |
| --- | --- | --- |
| 30.7 | 1 | 1 0 7 |
| 33.5 | 100 | 1 1 0 |
| 48.1 | 18 | 2 0 8 |
| 59.9 | 38 | 3 0 0 |

```
data_ErTm2PuTl4
_chemical_formula_sum 'Er3 Tm6 Pu3 Tl12'
_space_group_name_H-M_alt 'R -3 m'
_space_group_IT_number 166
_space_group_name_Hall '-R 3 2"'
_cell_length_a 5.3447
_cell_length_b 5.3447
_cell_length_c 26.2029
_cell_angle_alpha 90.00
_cell_angle_beta 90.00
_cell_angle_gamma 120.00
loop_
_atom_site_label
_atom_site_fract_x
_atom_site_fract_y
_atom_site_fract_z
Er1 0.0000 0.0000 0.0000
Tm1 0.0000 0.0000 0.2483
Pu1 0.0000 0.0000 0.5000
Tl1 0.0000 0.0000 0.1230
Tl2 0.0000 0.0000 0.3731
```

=====

The following is a theoretical powder X-ray diffraction pattern of Al2Te3. It was derived from a DFT-relaxed cell (PBE, Alexandria), using a wavelength of 1.5418 Å.
Lines closer than 0.1° are merged.

Most intense lines, 5° ≤ 2θ ≤ 70°, low angle first:
| 2θ (°) | intensity | hkl |
| --- | --- | --- |
| 22.9 | 54 | 0 0 4 |
| 23.7 | 36 | 1 3 0 |
| 26.4 | 100 | 1 3 2 |
| 27.1 | 50 | 2 0 -2 |
| 42.4 | 36 | 1 3 6 |
| 42.6 | 30 | 3 3 0 |

```
data_Al2Te3
_chemical_formula_sum 'Al16 Te24'
_space_group_name_H-M_alt 'P 1 21/c 1'
_space_group_IT_number 14
_space_group_name_Hall '-P 2ybc'
_cell_length_a 7.277
_cell_length_b 13.142
_cell_length_c 15.527
_cell_angle_alpha 90.00
_cell_angle_beta 90.03
_cell_angle_gamma 90.00
loop_
_atom_site_label
_atom_site_fract_x
_atom_site_fract_y
_atom_site_fract_z
Al1 0.069 0.067 0.187
Al2 0.080 0.750 0.195
Al3 0.421 0.090 0.803
Al4 0.431 0.094 0.314
Te1 0.076 0.077 0.361
Te2 0.084 0.736 0.361
Te3 0.092 0.095 0.885
Te4 0.410 0.743 0.614
Te5 0.417 0.075 0.638
Te6 0.424 0.084 0.141
```

=====

The following is a theoretical powder X-ray diffraction pattern of Sr3Ca. It was derived from a DFT-relaxed cell (PBE, Alexandria), using a wavelength of 1.5418 Å.
Lines closer than 0.1° are merged.

Most intense lines, 5° ≤ 2θ ≤ 70°, low angle first:
| 2θ (°) | intensity | hkl |
| --- | --- | --- |
| 26.2 | 100 | 1 1 0 |
| 30.0 | 35 | 1 0 2 |
| 31.0 | 16 | 0 2 0 |
| 43.6 | 24 | 1 2 2 |
| 51.0 | 30 | 2 1 2 |
| 52.2 | 14 | 1 3 0 |

```
data_Sr3Ca
_chemical_formula_sum 'Sr3 Ca1'
_space_group_name_H-M_alt 'P m m m'
_space_group_IT_number 47
_space_group_name_Hall '-P 2 2'
_cell_length_a 4.220
_cell_length_b 5.775
_cell_length_c 8.417
_cell_angle_alpha 90.00
_cell_angle_beta 90.00
_cell_angle_gamma 90.00
loop_
_atom_site_label
_atom_site_fract_x
_atom_site_fract_y
_atom_site_fract_z
Sr1 0.000 0.000 0.000
Sr2 0.500 0.500 0.258
Ca1 0.000 0.000 0.500
```

=====

The following is a theoretical powder X-ray diffraction pattern of Sr2GeO4. It was derived from a DFT-relaxed cell (PBE, Alexandria), using a wavelength of 1.5418 Å.
Lines closer than 0.1° are merged.

Most intense lines, 5° ≤ 2θ ≤ 70°, low angle first:
| 2θ (°) | intensity | hkl |
| --- | --- | --- |
| 28.8 | 30 | 1 2 -1 |
| 29.7 | 69 | 1 0 2 |
| 29.8 | 53 | 1 2 0 |
| 30.3 | 100 | 2 0 -2 |
| 30.5 | 31 | 1 2 -2 |
| 31.9 | 47 | 1 0 -4 |

```
data_Sr2GeO4
_chemical_formula_sum 'Sr8 Ge4 O16'
_space_group_name_H-M_alt 'P 1 21/c 1'
_space_group_IT_number 14
_space_group_name_Hall '-P 2ybc'
_cell_length_a 5.922
_cell_length_b 7.298
_cell_length_c 11.236
_cell_angle_alpha 90.00
_cell_angle_beta 117.03
_cell_angle_gamma 90.00
loop_
_atom_site_label
_atom_site_fract_x
_atom_site_fract_y
_atom_site_fract_z
Sr1 0.020 0.004 0.299
Sr2 0.298 0.656 0.570
Ge1 0.348 0.217 0.582
O1 0.143 0.169 0.137
O2 0.271 0.169 0.926
O3 0.273 0.517 0.058
O4 0.326 0.750 0.305
```